Simulated powder diffraction line list of PtO2 for copper Kα, from a crystal structure in the Materials Project, relaxed with GGA-PBE.
Intensities are scaled so that the largest is 100.

Cell and atoms:
Cell lengths 5.000, 5.000, 5.000 Å; angles 90.00, 90.00, 90.00 degrees
Space group Pa-3 (No. 205)
One atom of each set of equivalent atoms:
Pt (0.000, 0.000, 0.000) (multiplicity 4)
O (0.159, 0.659, 0.841) (multiplicity 8)

Principal peaks in the range 10 to 90 degrees two-theta, in order of falling intensity:
- 2θ 30.98, I 100
- 2θ 61.52, I 50
- 2θ 35.92, I 46
- 2θ 51.71, I 41
- 2θ 87.19, I 19
- 2θ 84.46, I 17
- 2θ 64.57, I 13
- 2θ 76.16, I 5
- 2θ 40.34, I 1
- 2θ 44.38, I 1



Simulated powder diffraction line list of PtO2 for copper Kα, from a crystal structure in the Materials Project, relaxed with GGA-PBE.
Intensities are scaled so that the largest is 100.

Cell and atoms:
Cell lengths 3.1641, 3.1641, 9.4358 Å; angles 90.00, 90.00, 120.00 degrees
Space group P6_3mc (No. 186)
One atom of each set of equivalent atoms:
Pt (0.3333, 0.6667, 0.0000) (multiplicity 2)
O (0.0000, 0.0000, 0.1005) (multiplicity 2)
O (0.3333, 0.6667, 0.3995) (multiplicity 2)

Principal peaks in the range 10 to 90 degrees two-theta, in order of falling intensity:
- 2θ 18.81, I 100
- 2θ 34.07, I 80
- 2θ 43.82, I 49
- 2θ 61.86, I 25
- 2θ 37.97, I 23
- 2θ 59.47, I 22
- 2θ 58.33, I 18
- 2θ 32.68, I 14
- 2θ 71.85, I 12
- 2θ 51.09, I 11